The following is a simulated powder diffraction line list of Rb2UTeSe2. It was derived from the PBE geometry in Alexandria, using Cu Kα, 1.54184 Å.
Neutral-atom scattering factors, no anomalous dispersion.

Structural model:
a b c (Å): 5.6350 5.6350 6.7276
angles (deg): 90.00 90.00 90.00
Atoms (fractional coordinates):
1 Rb 0.0000 0.0000 0.2304
2 Rb 0.0000 0.0000 0.7696
3 U 0.5000 0.5000 0.5000
4 Te 0.5000 0.5000 0.0000
5 Se 0.0000 0.5000 0.5000
6 Se 0.5000 0.0000 0.5000

Largest 10 diffraction maxima, in order of rising 2θ, 5 to 70 degrees two-theta:
d = 6.728 Å, intensity 39.9
d = 5.635 Å, intensity 28.0
d = 3.985 Å, intensity 55.2
d = 2.888 Å, intensity 100.0
d = 2.817 Å, intensity 81.3
d = 2.160 Å, intensity 19.4
d = 2.017 Å, intensity 71.6
d = 1.992 Å, intensity 29.8
d = 1.444 Å, intensity 19.9
d = 1.417 Å, intensity 23.2

---

The following is a simulated powder diffraction line list of BH2Br. It was derived from the PBE geometry in Alexandria, using Cu Kα, 1.54184 Å.
Neutral-atom scattering factors, no anomalous dispersion.

Structural model:
a b c (Å): 6.1038 11.5138 3.7754
angles (deg): 90.00 90.00 90.00
Atoms (fractional coordinates):
1 B 0.1285 0.0021 0.0000
2 B 0.3715 0.5021 0.5000
3 B 0.6285 0.4979 0.0000
4 B 0.8715 0.9979 0.5000
5 H 0.0630 0.0133 0.3469
6 H 0.2005 0.0974 0.9551
7 H 0.2995 0.5974 0.4551
8 H 0.4370 0.5133 0.8469
9 H 0.5630 0.4867 0.3469
10 H 0.7005 0.4026 0.9551
11 H 0.7995 0.9026 0.4551
12 H 0.9370 0.9867 0.8469
13 Br 0.1936 0.3649 0.4568
14 Br 0.3064 0.8649 0.9568
15 Br 0.6936 0.1351 0.4568
16 Br 0.8064 0.6351 0.9568

Largest 10 diffraction maxima, in order of rising 2θ, 5 to 70 degrees two-theta:
d = 4.188 Å, intensity 100.0
d = 3.587 Å, intensity 45.0
d = 3.093 Å, intensity 55.5
d = 3.052 Å, intensity 15.8
d = 2.878 Å, intensity 17.0
d = 2.463 Å, intensity 30.4
d = 2.325 Å, intensity 15.7
d = 1.831 Å, intensity 20.6
d = 1.721 Å, intensity 16.3
d = 1.710 Å, intensity 14.6

---

The following is a simulated powder diffraction line list of Sc4W3. It was derived from the PBE geometry in Alexandria, using Cu Kα, 1.54184 Å.
Neutral-atom scattering factors, no anomalous dispersion.

Structural model:
a b c (Å): 13.7275 13.7275 13.7275
angles (deg): 166.42 166.42 19.25
Atoms (fractional coordinates):
1 Sc 0.0624 0.0624 0.0000
2 Sc 0.3415 0.3415 0.0000
3 Sc 0.6585 0.6585 0.0000
4 Sc 0.9376 0.9376 0.0000
5 W 0.2241 0.2241 0.0000
6 W 0.5000 0.5000 0.0000
7 W 0.7759 0.7759 0.0000

Largest 10 diffraction maxima, in order of rising 2θ, 5 to 70 degrees two-theta:
d = 13.534 Å, intensity 45.5
d = 6.767 Å, intensity 100.0
d = 3.054 Å, intensity 19.0
d = 2.486 Å, intensity 93.9
d = 2.295 Å, intensity 44.4
d = 2.173 Å, intensity 24.8
d = 1.961 Å, intensity 34.4
d = 1.623 Å, intensity 14.9
d = 1.578 Å, intensity 13.6
d = 1.359 Å, intensity 27.5

---

The following is a simulated powder diffraction line list of BiPb3Se4. It was derived from the PBE geometry in Alexandria, using Cu Kα, 1.54184 Å.
Neutral-atom scattering factors, no anomalous dispersion.

Structural model:
a b c (Å): 7.5582 7.5582 7.5582
angles (deg): 131.42 131.42 71.14
Atoms (fractional coordinates):
1 Bi 0.0000 0.0000 0.0000
2 Pb 0.2500 0.7500 0.5000
3 Pb 0.5000 0.5000 0.0000
4 Pb 0.7500 0.2500 0.5000
5 Se 0.0000 0.5000 0.5000
6 Se 0.2435 0.2435 0.0000
7 Se 0.5000 0.0000 0.5000
8 Se 0.7565 0.7565 0.0000

Largest 10 diffraction maxima, in order of rising 2θ, 5 to 70 degrees two-theta:
d = 3.576 Å, intensity 53.2
d = 3.109 Å, intensity 100.0
d = 3.074 Å, intensity 48.4
d = 2.198 Å, intensity 38.7
d = 2.186 Å, intensity 75.9
d = 1.873 Å, intensity 19.4
d = 1.788 Å, intensity 41.2
d = 1.390 Å, intensity 18.3
d = 1.387 Å, intensity 18.1
d = 1.378 Å, intensity 17.5

---

The following is a simulated powder diffraction line list of Pu2Ga12Ir. It was derived from the PBE geometry in Alexandria, using Cu Kα, 1.54184 Å.
Neutral-atom scattering factors, no anomalous dispersion.

Structural model:
a b c (Å): 6.0563 6.0563 15.6778
angles (deg): 90.00 90.00 90.00
Atoms (fractional coordinates):
1 Pu 0.2500 0.7500 0.2399
2 Pu 0.2500 0.7500 0.7601
3 Pu 0.7500 0.2500 0.2399
4 Pu 0.7500 0.2500 0.7601
5 Ga 0.0001 0.9999 0.0890
6 Ga 0.9999 0.0001 0.9110
7 Ga 0.9999 0.4999 0.0890
8 Ga 0.0001 0.5001 0.9110
9 Ga 0.0806 0.5806 0.4299
10 Ga 0.0806 0.9194 0.5701
11 Ga 0.2500 0.2500 0.1906
12 Ga 0.2500 0.2500 0.3450
13 Ga 0.2500 0.2500 0.6550
14 Ga 0.2500 0.2500 0.8094
15 Ga 0.4194 0.5806 0.5701
16 Ga 0.4194 0.9194 0.4299
17 Ga 0.5001 0.0001 0.0890
18 Ga 0.4999 0.9999 0.9110
19 Ga 0.4999 0.5001 0.0890
20 Ga 0.5001 0.4999 0.9110
21 Ga 0.5806 0.0806 0.5701
22 Ga 0.5806 0.4194 0.4299
23 Ga 0.7500 0.7500 0.1906
24 Ga 0.7500 0.7500 0.3450
25 Ga 0.7500 0.7500 0.6550
26 Ga 0.7500 0.7500 0.8094
27 Ga 0.9194 0.0806 0.4299
28 Ga 0.9194 0.4194 0.5701
29 Ir 0.2500 0.7500 0.0000
30 Ir 0.7500 0.2500 0.0000

Largest 10 diffraction maxima, in order of rising 2θ, 5 to 70 degrees two-theta:
d = 15.678 Å, intensity 60.4
d = 4.282 Å, intensity 46.0
d = 2.891 Å, intensity 100.0
d = 2.825 Å, intensity 79.6
d = 2.396 Å, intensity 65.7
d = 2.230 Å, intensity 34.7
d = 2.178 Å, intensity 35.2
d = 2.141 Å, intensity 72.7
d = 1.721 Å, intensity 49.7
d = 1.370 Å, intensity 29.7

---

What did the second record say?
The following is a simulated powder diffraction line list of BH2Br. It was derived from the PBE geometry in Alexandria, using Cu Kα, 1.54184 Å.
Neutral-atom scattering factors, no anomalous dispersion.

Structural model:
a b c (Å): 6.1038 11.5138 3.7754
angles (deg): 90.00 90.00 90.00
Atoms (fractional coordinates):
1 B 0.1285 0.0021 0.0000
2 B 0.3715 0.5021 0.5000
3 B 0.6285 0.4979 0.0000
4 B 0.8715 0.9979 0.5000
5 H 0.0630 0.0133 0.3469
6 H 0.2005 0.0974 0.9551
7 H 0.2995 0.5974 0.4551
8 H 0.4370 0.5133 0.8469
9 H 0.5630 0.4867 0.3469
10 H 0.7005 0.4026 0.9551
11 H 0.7995 0.9026 0.4551
12 H 0.9370 0.9867 0.8469
13 Br 0.1936 0.3649 0.4568
14 Br 0.3064 0.8649 0.9568
15 Br 0.6936 0.1351 0.4568
16 Br 0.8064 0.6351 0.9568

Largest 10 diffraction maxima, in order of rising 2θ, 5 to 70 degrees two-theta:
d = 4.188 Å, intensity 100.0
d = 3.587 Å, intensity 45.0
d = 3.093 Å, intensity 55.5
d = 3.052 Å, intensity 15.8
d = 2.878 Å, intensity 17.0
d = 2.463 Å, intensity 30.4
d = 2.325 Å, intensity 15.7
d = 1.831 Å, intensity 20.6
d = 1.721 Å, intensity 16.3
d = 1.710 Å, intensity 14.6